# 1
Theoretical X-ray powder pattern
Compound: Nd5Sm5Y
Radiation: Cu Kα
Structure: a crystal structure in Alexandria, relaxed with PBE
Peak positions follow from Bragg's law for the DFT cell and can differ from measured ones.

a b c (Å): 6.2261 6.2261 11.6406
angles (deg): 90.00 90.00 120.00
Fractional positions:
Nd 0.0000 0.0000 0.2364
Nd 0.0000 0.0000 0.7636
Nd 0.3396 0.1698 0.0000
Nd 0.8302 0.1698 0.0000
Nd 0.8302 0.6604 0.0000
Sm 0.0000 0.0000 0.5000
Sm 0.3333 0.6667 0.1819
Sm 0.3333 0.6667 0.8181
Sm 0.6667 0.3333 0.3415
Sm 0.6667 0.3333 0.6585
Y 0.3333 0.6667 0.5000

Largest 8 diffraction maxima, by angle, 10° ≤ 2θ ≤ 80°:
2theta, Rel. int.
28.34, 100
28.68, 90
29.71, 27
32.62, 34
34.14, 44
35.04, 35
50.59, 38
59.38, 29


# 2
Theoretical X-ray powder pattern
Compound: Nd3SmY2
Radiation: Cu Kα
Structure: a crystal structure in Alexandria, relaxed with PBE
Peak positions follow from Bragg's law for the DFT cell and can differ from measured ones.

a b c (Å): 9.6316 9.6316 6.2892
angles (deg): 90.24 90.24 44.39
Fractional positions:
Nd 0.1253 0.8747 0.7500
Nd 0.2081 0.4581 0.5822
Nd 0.4581 0.2081 0.0822
Nd 0.5419 0.7919 0.9178
Nd 0.7919 0.5419 0.4178
Nd 0.8747 0.1253 0.2500
Sm 0.3749 0.6251 0.2500
Sm 0.6251 0.3749 0.7500
Y 0.0424 0.2916 0.9172
Y 0.2916 0.0424 0.4172
Y 0.7084 0.9576 0.5828
Y 0.9576 0.7084 0.0828

Largest 8 diffraction maxima, by angle, 10° ≤ 2θ ≤ 80°:
2theta, Rel. int.
30.09, 100
34.84, 34
34.99, 17
50.09, 12
50.21, 24
59.52, 14
59.58, 14
59.76, 14


# 3
Theoretical X-ray powder pattern
Compound: NdSmY2
Radiation: Cu Kα
Structure: a crystal structure in Alexandria, relaxed with PBE
Peak positions follow from Bragg's law for the DFT cell and can differ from measured ones.

a b c (Å): 5.1257 5.1257 5.0756
angles (deg): 90.00 90.00 90.00
Fractional positions:
Nd 0.0000 0.0000 0.0000
Sm 0.5000 0.5000 0.0000
Y 0.0000 0.5000 0.5000
Y 0.5000 0.0000 0.5000

Largest 8 diffraction maxima, by angle, 10° ≤ 2θ ≤ 80°:
2theta, Rel. int.
30.30, 100
35.01, 34
35.37, 16
50.35, 12
50.62, 24
59.90, 28
60.38, 14
63.03, 12


# 4
Theoretical X-ray powder pattern
Compound: NdSm5Y2
Radiation: Cu Kα
Structure: a crystal structure in Alexandria, relaxed with PBE
Peak positions follow from Bragg's law for the DFT cell and can differ from measured ones.

a b c (Å): 6.3588 6.8850 12.4466
angles (deg): 85.65 89.98 89.95
Fractional positions:
Nd 0.1674 0.4430 0.1866
Nd 0.8326 0.5570 0.8134
Sm 0.1654 0.6877 0.4373
Sm 0.1649 0.9356 0.6889
Sm 0.3342 0.1865 0.4375
Sm 0.3338 0.9425 0.1866
Sm 0.3351 0.4351 0.6883
Sm 0.6649 0.5649 0.3117
Sm 0.6662 0.0575 0.8134
Sm 0.6658 0.8135 0.5625
Sm 0.8351 0.0644 0.3111
Sm 0.8346 0.3123 0.5627
Y 0.1680 0.1854 0.9384
Y 0.3325 0.6867 0.9386
Y 0.6675 0.3133 0.0614
Y 0.8320 0.8146 0.0616

Largest 8 diffraction maxima, by angle, 10° ≤ 2θ ≤ 80°:
2theta, Rel. int.
28.08, 24
30.71, 25
32.08, 100
42.09, 16
49.69, 20
55.46, 14
59.56, 19
60.38, 16


# 5
Theoretical X-ray powder pattern
Compound: Nd6Sm2Zn
Radiation: Cu Kα
Structure: a crystal structure in Alexandria, relaxed with PBE
Peak positions follow from Bragg's law for the DFT cell and can differ from measured ones.

a b c (Å): 10.1578 10.4807 5.5459
angles (deg): 90.00 90.00 90.00
Fractional positions:
Nd 0.0220 0.1923 0.0000
Nd 0.1315 0.6080 0.5000
Nd 0.1902 0.9358 0.5000
Nd 0.3098 0.4358 0.0000
Nd 0.3685 0.1080 0.0000
Nd 0.4780 0.6923 0.5000
Nd 0.5220 0.3077 0.5000
Nd 0.6315 0.8920 0.0000
Nd 0.6902 0.5642 0.0000
Nd 0.8098 0.0642 0.5000
Nd 0.8685 0.3920 0.5000
Nd 0.9780 0.8077 0.0000
Sm 0.1968 0.2600 0.5000
Sm 0.3032 0.7600 0.0000
Sm 0.6968 0.2400 0.0000
Sm 0.8032 0.7400 0.5000
Zn 0.0000 0.5000 0.0000
Zn 0.5000 0.0000 0.5000

Largest 8 diffraction maxima, by angle, 10° ≤ 2θ ≤ 80°:
2theta, Rel. int.
30.24, 35
30.94, 100
31.07, 37
31.51, 91
32.28, 59
45.42, 30
55.68, 19
56.73, 18


# 6
Theoretical X-ray powder pattern
Compound: Nd9Sm4Zn11
Radiation: Cu Kα
Structure: a crystal structure in Alexandria, relaxed with PBE
Peak positions follow from Bragg's law for the DFT cell and can differ from measured ones.

a b c (Å): 13.4694 13.4694 3.5729
angles (deg): 90.00 90.00 109.75
Fractional positions:
Nd 0.0000 0.0000 0.0000
Nd 0.1234 0.6439 0.0000
Nd 0.2941 0.4703 0.0000
Nd 0.3561 0.8766 0.0000
Nd 0.4703 0.2941 0.0000
Nd 0.5297 0.7059 0.0000
Nd 0.6439 0.1234 0.0000
Nd 0.7059 0.5297 0.0000
Nd 0.8766 0.3561 0.0000
Sm 0.0693 0.2504 0.0000
Sm 0.2504 0.0693 0.0000
Sm 0.7496 0.9307 0.0000
Sm 0.9307 0.7496 0.0000
Zn 0.0843 0.4439 0.5000
Zn 0.1345 0.8655 0.5000
Zn 0.2644 0.2644 0.5000
Zn 0.3284 0.6716 0.5000
Zn 0.4439 0.0843 0.5000
Zn 0.5000 0.5000 0.5000
Zn 0.5561 0.9157 0.5000
Zn 0.6716 0.3284 0.5000
Zn 0.7356 0.7356 0.5000
Zn 0.8655 0.1345 0.5000
Zn 0.9157 0.5561 0.5000

Largest 8 diffraction maxima, by angle, 10° ≤ 2θ ≤ 80°:
2theta, Rel. int.
24.92, 27
32.79, 22
33.62, 100
34.13, 88
35.04, 91
51.13, 22
62.60, 33
63.58, 21


# 7
Theoretical X-ray powder pattern
Compound: Nd2Sm6Zn
Radiation: Cu Kα
Structure: a crystal structure in Alexandria, relaxed with PBE
Peak positions follow from Bragg's law for the DFT cell and can differ from measured ones.

a b c (Å): 3.7383 9.4764 9.4764
angles (deg): 119.96 90.00 90.00
Fractional positions:
Nd 0.0000 0.1667 0.8333
Nd 0.0000 0.8333 0.1667
Sm 0.0000 0.2433 0.4998
Sm 0.0000 0.4998 0.2433
Sm 0.0000 0.7568 0.7568
Sm 0.5000 0.1163 0.1163
Sm 0.5000 0.5001 0.8835
Sm 0.5000 0.8835 0.5001
Zn 0.5000 0.5002 0.5002

Largest 8 diffraction maxima, by angle, 10° ≤ 2θ ≤ 80°:
2theta, Rel. int.
28.78, 59
30.46, 100
32.39, 50
32.73, 62
37.68, 30
54.57, 34
57.57, 17
59.93, 22


# 8
Theoretical X-ray powder pattern
Compound: Nd2Sm2Zn3
Radiation: Cu Kα
Structure: a crystal structure in Alexandria, relaxed with PBE
Peak positions follow from Bragg's law for the DFT cell and can differ from measured ones.

a b c (Å): 5.1374 5.1374 8.8325
angles (deg): 107.21 107.21 59.81
Fractional positions:
Nd 0.1275 0.1275 0.3815
Nd 0.8725 0.8725 0.6185
Sm 0.3781 0.3781 0.1341
Sm 0.6219 0.6219 0.8659
Zn 0.0000 0.0000 0.0000
Zn 0.2532 0.2532 0.7608
Zn 0.7468 0.7468 0.2392

Largest 8 diffraction maxima, by angle, 10° ≤ 2θ ≤ 80°:
2theta, Rel. int.
24.66, 53
34.93, 100
35.04, 50
35.16, 96
35.27, 48
50.56, 34
62.75, 35
62.93, 35